Simulated XRD peak list
Compound: SrFeI4
Radiation: CuKα
Structure: a cell relaxed with GGA-PBE
No peak broadening, texture or thermal motion is included.

The 8 most intense peaks (2θ from 10° to 80°), in order of falling intensity:
two_theta, intensity
25.1, 100
27.6, 33
41.8, 29
45.4, 28
14.9, 28
32.9, 27
23.1, 21
43.5, 16

Cell and atoms:
Cell lengths 7.699, 7.699, 9.361 Å; angles 90.00, 90.00, 90.00 degrees
Space group I-4 (No. 82)
Inequivalent atoms, fractional coordinates:
Sr1 0.000 0.000 0.000 (multiplicity 2)
Fe1 0.000 0.500 0.750 (multiplicity 2)
I1 0.191 0.259 0.625 (multiplicity 8)